Computed XRD peak list of AlGaCoTe4 for CuKα, from a cell relaxed with GGA-PBE.

Peak list (6 most intense, 2θ = 10–90°, in order of rising 2θ)
d/Å, I/Imax
3.296, 100
2.855, 81
2.197, 40
2.019, 89
1.721, 30
1.104, 18

Atomic structure:
abc: 8.076 8.076 11.414
angles: 90.00 90.00 90.00
Positions (direct):
Al1 0.000 0.254 0.000
Al2 0.000 0.746 0.500
Al3 0.254 0.000 0.750
Al4 0.746 0.000 0.250
Ga1 0.257 0.257 0.375
Ga2 0.257 0.743 0.125
Ga3 0.743 0.257 0.625
Ga4 0.743 0.743 0.875
Co1 0.253 0.500 0.750
Co2 0.500 0.253 0.000
Co3 0.500 0.747 0.500
Co4 0.747 0.500 0.250
Te1 0.031 0.265 0.754
Te2 0.031 0.735 0.746
Te3 0.265 0.031 0.996
Te4 0.265 0.969 0.504
Te5 0.267 0.475 0.978
Te6 0.267 0.525 0.522
Te7 0.475 0.267 0.772
Te8 0.475 0.733 0.728
Te9 0.525 0.267 0.228
Te10 0.525 0.733 0.272
Te11 0.733 0.475 0.022
Te12 0.733 0.525 0.478
Te13 0.735 0.031 0.004
Te14 0.735 0.969 0.496
Te15 0.969 0.265 0.246
Te16 0.969 0.735 0.254

Computed XRD peak list of Gd7Al7Co6 for CuKα, from a cell relaxed with GGA-PBE.

Peak list (6 most intense, 2θ = 10–90°, in order of rising 2θ)
d/Å, I/Imax
3.411, 35
2.613, 100
2.436, 30
2.259, 45
2.216, 36
2.068, 37

Atomic structure:
abc: 13.480 13.480 4.137
angles: 90.00 90.00 90.00
Positions (direct):
Gd1 0.000 0.000 0.000
Gd2 0.049 0.261 0.000
Gd3 0.129 0.629 0.500
Gd4 0.239 0.451 0.000
Gd5 0.261 0.951 0.000
Gd6 0.371 0.129 0.500
Gd7 0.451 0.761 0.000
Gd8 0.500 0.500 0.000
Gd9 0.549 0.239 0.000
Gd10 0.629 0.871 0.500
Gd11 0.739 0.049 0.000
Gd12 0.761 0.549 0.000
Gd13 0.871 0.371 0.500
Gd14 0.951 0.739 0.000
Al1 0.000 0.500 0.000
Al2 0.093 0.862 0.500
Al3 0.138 0.093 0.500
Al4 0.216 0.284 0.500
Al5 0.284 0.784 0.500
Al6 0.362 0.593 0.500
Al7 0.407 0.362 0.500
Al8 0.500 0.000 0.000
Al9 0.593 0.638 0.500
Al10 0.638 0.407 0.500
Al11 0.716 0.216 0.500
Al12 0.784 0.716 0.500
Al13 0.862 0.907 0.500
Al14 0.907 0.138 0.500
Co1 0.076 0.424 0.500
Co2 0.159 0.786 0.000
Co3 0.214 0.159 0.000
Co4 0.286 0.659 0.000
Co5 0.341 0.286 0.000
Co6 0.424 0.924 0.500
Co7 0.576 0.076 0.500
Co8 0.659 0.714 0.000
Co9 0.714 0.341 0.000
Co10 0.786 0.841 0.000
Co11 0.841 0.214 0.000
Co12 0.924 0.576 0.500

Computed XRD peak list of NdGdAl4Co2 for CuKα, from a cell relaxed with GGA-PBE.

Peak list (6 most intense, 2θ = 10–90°, in order of rising 2θ)
d/Å, I/Imax
3.782, 71
3.519, 55
2.576, 100
2.453, 94
2.409, 61
1.747, 33

Atomic structure:
abc: 7.038 4.069 10.257
angles: 90.00 90.00 90.00
Positions (direct):
Nd1 0.000 0.000 0.000
Nd2 0.000 0.500 0.500
Gd1 0.500 0.000 0.887
Gd2 0.500 0.500 0.387
Al1 0.196 0.000 0.278
Al2 0.196 0.500 0.778
Al3 0.309 0.000 0.609
Al4 0.309 0.500 0.109
Al5 0.691 0.000 0.609
Al6 0.691 0.500 0.109
Al7 0.804 0.000 0.278
Al8 0.804 0.500 0.778
Co1 0.000 0.000 0.728
Co2 0.000 0.500 0.228
Co3 0.500 0.000 0.160
Co4 0.500 0.500 0.660

Computed XRD peak list of SmGdAlCo2 for CuKα, from a cell relaxed with GGA-PBE.

Peak list (6 most intense, 2θ = 10–90°, in order of rising 2θ)
d/Å, I/Imax
6.656, 34
2.693, 100
2.555, 82
2.337, 91
2.180, 36
1.524, 33

Atomic structure:
abc: 3.986 3.798 13.313
angles: 90.00 90.00 90.00
Positions (direct):
Sm1 0.000 0.000 0.000
Sm2 0.000 0.500 0.500
Gd1 0.000 0.000 0.265
Gd2 0.000 0.500 0.765
Al1 0.500 0.000 0.634
Al2 0.500 0.500 0.134
Co1 0.500 0.000 0.429
Co2 0.500 0.000 0.833
Co3 0.500 0.500 0.333
Co4 0.500 0.500 0.929

Computed XRD peak list of GdTmAl4Co2 for CuKα, from a cell relaxed with GGA-PBE.

Peak list (6 most intense, 2θ = 10–90°, in order of rising 2θ)
d/Å, I/Imax
3.744, 63
3.507, 50
2.559, 100
2.400, 87
2.330, 50
2.022, 29

Atomic structure:
abc: 7.014 4.045 9.881
angles: 90.00 90.00 90.00
Positions (direct):
Gd1 0.000 0.000 0.000
Gd2 0.000 0.500 0.500
Tm1 0.500 0.000 0.121
Tm2 0.500 0.500 0.621
Al1 0.197 0.000 0.719
Al2 0.197 0.500 0.219
Al3 0.308 0.000 0.402
Al4 0.308 0.500 0.902
Al5 0.692 0.000 0.402
Al6 0.692 0.500 0.902
Al7 0.803 0.000 0.719
Al8 0.803 0.500 0.219
Co1 0.000 0.000 0.275
Co2 0.000 0.500 0.775
Co3 0.500 0.000 0.845
Co4 0.500 0.500 0.345

Computed XRD peak list of GdTmAlCo2 for CuKα, from a cell relaxed with GGA-PBE.

Peak list (6 most intense, 2θ = 10–90°, in order of rising 2θ)
d/Å, I/Imax
3.234, 71
2.550, 100
2.463, 29
2.275, 89
2.174, 35
2.012, 28

Atomic structure:
abc: 4.024 5.437 8.288
angles: 90.00 90.00 90.00
Positions (direct):
Gd1 0.000 0.000 0.000
Gd2 0.500 0.500 0.500
Tm1 0.000 0.000 0.591
Tm2 0.500 0.500 0.091
Al1 0.000 0.500 0.796
Al2 0.500 0.000 0.296
Co1 0.000 0.276 0.295
Co2 0.000 0.724 0.295
Co3 0.500 0.224 0.795
Co4 0.500 0.776 0.795

Computed XRD peak list of Ho4AlCo2Ge4 for CuKα, from a cell relaxed with GGA-PBE.

Peak list (6 most intense, 2θ = 10–90°, in order of rising 2θ)
d/Å, I/Imax
2.664, 86
2.552, 100
2.455, 86
2.449, 56
2.191, 33
2.113, 58

Atomic structure:
abc: 7.882 7.882 6.893
angles: 106.80 106.80 31.11
Positions (direct):
Ho1 0.089 0.089 0.388
Ho2 0.152 0.152 0.941
Ho3 0.848 0.848 0.059
Ho4 0.911 0.911 0.612
Al1 0.500 0.500 0.000
Co1 0.279 0.279 0.367
Co2 0.721 0.721 0.633
Ge1 0.297 0.297 0.733
Ge2 0.433 0.433 0.334
Ge3 0.567 0.567 0.666
Ge4 0.703 0.703 0.267

Computed XRD peak list of AlInCoH6 for CuKα, from a cell relaxed with GGA-PBE.

Peak list (6 most intense, 2θ = 10–90°, in order of rising 2θ)
d/Å, I/Imax
3.799, 72
3.290, 19
2.327, 100
1.984, 35
1.645, 18
1.343, 33

Atomic structure:
abc: 4.653 4.653 4.653
angles: 60.00 60.00 60.00
Positions (direct):
Al1 0.000 0.000 0.000
In1 0.500 0.500 0.500
Co1 0.750 0.750 0.750
H1 0.501 0.501 0.999
H2 0.501 0.999 0.501
H3 0.501 0.999 0.999
H4 0.999 0.501 0.501
H5 0.999 0.501 0.999
H6 0.999 0.999 0.501

Repeat the sixth record exactly.
Computed XRD peak list of GdTmAlCo2 for CuKα, from a cell relaxed with GGA-PBE.

Peak list (6 most intense, 2θ = 10–90°, in order of rising 2θ)
d/Å, I/Imax
3.234, 71
2.550, 100
2.463, 29
2.275, 89
2.174, 35
2.012, 28

Atomic structure:
abc: 4.024 5.437 8.288
angles: 90.00 90.00 90.00
Positions (direct):
Gd1 0.000 0.000 0.000
Gd2 0.500 0.500 0.500
Tm1 0.000 0.000 0.591
Tm2 0.500 0.500 0.091
Al1 0.000 0.500 0.796
Al2 0.500 0.000 0.296
Co1 0.000 0.276 0.295
Co2 0.000 0.724 0.295
Co3 0.500 0.224 0.795
Co4 0.500 0.776 0.795

Question: Number 5 is which compound?
Answer: GdTmAl4Co2

Question: What is the formula in the fourth record?
Answer: SmGdAlCo2